[1]
This entry pairs a crystal structure of CsCeTc2O8 with its theoretical powder X-ray diffraction pattern. Radiation: Cu Kα. Structure: DFT lattice parameters and positions (GGA-PBE).
Lines closer than 0.1° are merged.

Largest 6 diffraction maxima, most intense first, 10 to 90 degrees two-theta:
26.9 deg, 3.314 Å, rel. 100
19.8 deg, 4.485 Å, rel. 82
29.3 deg, 3.045 Å, rel. 72
40.2 deg, 2.242 Å, rel. 41
50.6 deg, 1.806 Å, rel. 34
16.8 deg, 5.274 Å, rel. 33

Atomic structure:
Lattice parameters (Å, degrees): 6.090 6.090 8.521 90.00 90.00 120.00
Element x y z (fractional)
Cs 0.000 0.000 0.000
Ce 0.000 0.000 0.500
Tc 0.333 0.667 0.739
Tc 0.667 0.333 0.261
O 0.170 0.345 0.665
O 0.175 0.830 0.665
O 0.333 0.667 0.944
O 0.345 0.175 0.335
O 0.655 0.825 0.665
O 0.667 0.333 0.056
O 0.825 0.170 0.335
O 0.830 0.655 0.335



[2]
This entry pairs a crystal structure of CePu2S6 with its theoretical powder X-ray diffraction pattern. Radiation: Cu Kα. Structure: DFT lattice parameters and positions (GGA-PBE).
Lines closer than 0.1° are merged.

Largest 6 diffraction maxima, most intense first, 10 to 90 degrees two-theta:
24.6 deg, 3.624 Å, rel. 100
26.2 deg, 3.403 Å, rel. 64
36.2 deg, 2.481 Å, rel. 59
44.2 deg, 2.047 Å, rel. 48
33.2 deg, 2.701 Å, rel. 45
43.2 deg, 2.093 Å, rel. 40

Atomic structure:
Lattice parameters (Å, degrees): 7.249 7.249 4.050 90.00 90.00 120.00
Element x y z (fractional)
Ce 0.000 0.000 0.000
Pu 0.333 0.667 0.500
Pu 0.667 0.333 0.500
S 0.000 0.260 0.500
S 0.000 0.591 0.000
S 0.260 0.000 0.500
S 0.409 0.409 0.000
S 0.591 0.000 0.000
S 0.740 0.740 0.500



[3]
This entry pairs a crystal structure of HfMgN2 with its theoretical powder X-ray diffraction pattern. Radiation: Cu Kα. Structure: DFT lattice parameters and positions (GGA-PBE).
Lines closer than 0.1° are merged.

Largest 6 diffraction maxima, most intense first, 10 to 90 degrees two-theta:
34.5 deg, 2.601 Å, rel. 100
18.3 deg, 4.854 Å, rel. 52
23.4 deg, 3.808 Å, rel. 49
27.7 deg, 3.216 Å, rel. 36
49.2 deg, 1.852 Å, rel. 27
40.7 deg, 2.217 Å, rel. 24

Atomic structure:
Lattice parameters (Å, degrees): 6.407 4.434 7.436 90.00 90.00 90.00
Element x y z (fractional)
Hf 0.087 0.250 0.130
Hf 0.413 0.750 0.630
Hf 0.587 0.250 0.370
Hf 0.913 0.750 0.870
Mg 0.078 0.250 0.619
Mg 0.422 0.750 0.119
Mg 0.578 0.250 0.881
Mg 0.922 0.750 0.381
N 0.079 0.750 0.115
N 0.085 0.750 0.633
N 0.415 0.250 0.133
N 0.421 0.250 0.615
N 0.579 0.750 0.385
N 0.585 0.750 0.867
N 0.915 0.250 0.367
N 0.921 0.250 0.885



[4]
This entry pairs a crystal structure of ZnCu2TcH with its theoretical powder X-ray diffraction pattern. Radiation: Cu Kα. Structure: DFT lattice parameters and positions (GGA-PBE).
Lines closer than 0.1° are merged.

Largest 6 diffraction maxima, most intense first, 10 to 90 degrees two-theta:
41.1 deg, 2.198 Å, rel. 100
48.2 deg, 1.887 Å, rel. 31
85.1 deg, 1.140 Å, rel. 22
69.5 deg, 1.352 Å, rel. 19
46.9 deg, 1.938 Å, rel. 17
83.0 deg, 1.163 Å, rel. 12

Atomic structure:
Lattice parameters (Å, degrees): 3.773 3.773 3.877 90.00 90.00 90.00
Element x y z (fractional)
Zn 0.000 0.000 0.000
Cu 0.000 0.500 0.500
Cu 0.500 0.000 0.500
Tc 0.500 0.500 0.000
H 0.500 0.500 0.500



[5]
This entry pairs a crystal structure of InGaGe with its theoretical powder X-ray diffraction pattern. Radiation: Cu Kα. Structure: DFT lattice parameters and positions (GGA-PBE).
Lines closer than 0.1° are merged.

Largest 6 diffraction maxima, most intense first, 10 to 90 degrees two-theta:
35.0 deg, 2.566 Å, rel. 100
37.3 deg, 2.413 Å, rel. 81
52.0 deg, 1.758 Å, rel. 31
65.7 deg, 1.421 Å, rel. 30
69.7 deg, 1.348 Å, rel. 24
67.2 deg, 1.393 Å, rel. 14

Atomic structure:
Lattice parameters (Å, degrees): 4.825 4.825 3.252 90.00 90.00 120.00
Element x y z (fractional)
In 0.000 0.000 0.000
Ga 0.333 0.667 0.500
Ge 0.667 0.333 0.500



[6]
This entry pairs a crystal structure of Pm2B6C3 with its theoretical powder X-ray diffraction pattern. Radiation: Cu Kα. Structure: DFT lattice parameters and positions (GGA-PBE).
Lines closer than 0.1° are merged.

Largest 6 diffraction maxima, most intense first, 10 to 90 degrees two-theta:
39.1 deg, 2.303 Å, rel. 100
19.1 deg, 4.636 Å, rel. 58
33.8 deg, 2.655 Å, rel. 47
19.3 deg, 4.598 Å, rel. 43
27.3 deg, 3.265 Å, rel. 37
52.4 deg, 1.746 Å, rel. 28

Atomic structure:
Lattice parameters (Å, degrees): 5.310 5.310 4.636 90.00 90.00 120.00
Element x y z (fractional)
Pm 0.333 0.667 0.000
Pm 0.667 0.333 0.000
B 0.000 0.332 0.500
B 0.000 0.830 0.000
B 0.170 0.170 0.000
B 0.332 0.000 0.500
B 0.668 0.668 0.500
B 0.830 0.000 0.000
C 0.000 0.660 0.500
C 0.340 0.340 0.500
C 0.660 0.000 0.500



[7]
This entry pairs a crystal structure of Na4Tb3HoS8 with its theoretical powder X-ray diffraction pattern. Radiation: Cu Kα. Structure: DFT lattice parameters and positions (GGA-PBE).
Lines closer than 0.1° are merged.

Largest 6 diffraction maxima, most intense first, 10 to 90 degrees two-theta:
31.4 deg, 2.847 Å, rel. 100
13.2 deg, 6.682 Å, rel. 86
26.1 deg, 3.410 Å, rel. 44
44.6 deg, 2.030 Å, rel. 36
45.4 deg, 1.998 Å, rel. 35
27.3 deg, 3.271 Å, rel. 30

Atomic structure:
Lattice parameters (Å, degrees): 8.120 8.120 8.120 58.95 58.95 58.95
Element x y z (fractional)
Na 0.000 0.000 0.000
Na 0.000 0.500 0.500
Na 0.500 0.000 0.500
Na 0.500 0.500 0.000
Tb 0.000 0.000 0.500
Tb 0.000 0.500 0.000
Tb 0.500 0.000 0.000
Ho 0.500 0.500 0.500
S 0.243 0.243 0.243
S 0.244 0.741 0.741
S 0.259 0.259 0.756
S 0.259 0.756 0.259
S 0.741 0.244 0.741
S 0.741 0.741 0.244
S 0.756 0.259 0.259
S 0.757 0.757 0.757



[8]
This entry pairs a crystal structure of Rb2NaNpO5 with its theoretical powder X-ray diffraction pattern. Radiation: Cu Kα. Structure: DFT lattice parameters and positions (GGA-PBE).
Lines closer than 0.1° are merged.

Largest 6 diffraction maxima, most intense first, 10 to 90 degrees two-theta:
28.7 deg, 3.113 Å, rel. 100
16.0 deg, 5.550 Å, rel. 83
21.6 deg, 4.105 Å, rel. 28
40.1 deg, 2.247 Å, rel. 26
26.9 deg, 3.318 Å, rel. 21
29.2 deg, 3.055 Å, rel. 21

Atomic structure:
Lattice parameters (Å, degrees): 7.618 7.618 7.618 147.08 132.72 58.81
Element x y z (fractional)
Rb 0.223 0.223 0.000
Rb 0.777 0.777 0.000
Na 0.500 0.000 0.500
Np 0.000 0.500 0.500
O 0.000 0.000 0.000
O 0.121 0.394 0.726
O 0.332 0.606 0.726
O 0.668 0.394 0.274
O 0.879 0.606 0.274



[9]
This entry pairs a crystal structure of ZnSb6Ru with its theoretical powder X-ray diffraction pattern. Radiation: Cu Kα. Structure: DFT lattice parameters and positions (GGA-PBE).
Lines closer than 0.1° are merged.

Largest 6 diffraction maxima, most intense first, 10 to 90 degrees two-theta:
29.4 deg, 3.035 Å, rel. 100
29.8 deg, 2.994 Å, rel. 92
29.3 deg, 3.044 Å, rel. 42
29.5 deg, 3.024 Å, rel. 39
48.7 deg, 1.869 Å, rel. 34
42.6 deg, 2.121 Å, rel. 30

Atomic structure:
Lattice parameters (Å, degrees): 8.247 8.247 9.589 125.13 125.13 69.94
Element x y z (fractional)
Zn 0.000 0.500 0.000
Zn 0.500 0.000 0.000
Sb 0.145 0.835 0.644
Sb 0.165 0.855 0.356
Sb 0.193 0.505 0.838
Sb 0.329 0.329 0.483
Sb 0.360 0.360 0.210
Sb 0.495 0.807 0.162
Sb 0.505 0.193 0.838
Sb 0.640 0.640 0.790
Sb 0.671 0.671 0.517
Sb 0.807 0.495 0.162
Sb 0.835 0.145 0.644
Sb 0.855 0.165 0.356
Ru 0.000 0.500 0.500
Ru 0.500 0.000 0.500



[10]
This entry pairs a crystal structure of Tb4PuSe6 with its theoretical powder X-ray diffraction pattern. Radiation: Cu Kα. Structure: DFT lattice parameters and positions (GGA-PBE).
Lines closer than 0.1° are merged.

Largest 6 diffraction maxima, most intense first, 10 to 90 degrees two-theta:
30.9 deg, 2.895 Å, rel. 100
43.9 deg, 2.063 Å, rel. 57
25.2 deg, 3.540 Å, rel. 57
32.4 deg, 2.764 Å, rel. 51
41.8 deg, 2.161 Å, rel. 40
44.6 deg, 2.031 Å, rel. 33

Atomic structure:
Lattice parameters (Å, degrees): 7.042 7.042 20.795 90.00 90.00 146.47
Element x y z (fractional)
Tb 0.090 0.910 0.628
Tb 0.090 0.910 0.872
Tb 0.360 0.640 0.540
Tb 0.360 0.640 0.960
Tb 0.640 0.360 0.040
Tb 0.640 0.360 0.460
Tb 0.910 0.090 0.128
Tb 0.910 0.090 0.372
Pu 0.157 0.843 0.250
Pu 0.843 0.157 0.750
Se 0.000 0.000 0.000
Se 0.000 0.000 0.500
Se 0.185 0.815 0.750
Se 0.269 0.731 0.090
Se 0.269 0.731 0.410
Se 0.452 0.548 0.666
Se 0.452 0.548 0.834
Se 0.548 0.452 0.166
Se 0.548 0.452 0.334
Se 0.731 0.269 0.590
Se 0.731 0.269 0.910
Se 0.815 0.185 0.250



[11]
This entry pairs a crystal structure of BiSbPb2O5 with its theoretical powder X-ray diffraction pattern. Radiation: Cu Kα. Structure: DFT lattice parameters and positions (GGA-PBE).
Lines closer than 0.1° are merged.

Largest 6 diffraction maxima, most intense first, 10 to 90 degrees two-theta:
30.2 deg, 2.955 Å, rel. 100
27.4 deg, 3.251 Å, rel. 79
36.2 deg, 2.484 Å, rel. 68
26.3 deg, 3.388 Å, rel. 67
52.9 deg, 1.732 Å, rel. 60
30.5 deg, 2.929 Å, rel. 42

Atomic structure:
Lattice parameters (Å, degrees): 9.064 9.064 10.479 90.00 90.00 157.06
Element x y z (fractional)
Bi 0.229 0.771 0.500
Bi 0.771 0.229 0.000
Sb 0.450 0.550 0.984
Sb 0.550 0.450 0.484
Pb 0.104 0.896 0.806
Pb 0.123 0.877 0.170
Pb 0.877 0.123 0.670
Pb 0.896 0.104 0.306
O 0.100 0.900 0.574
O 0.259 0.741 0.131
O 0.357 0.643 0.524
O 0.358 0.642 0.879
O 0.483 0.517 0.311
O 0.517 0.483 0.811
O 0.642 0.358 0.379
O 0.643 0.357 0.024
O 0.741 0.259 0.631
O 0.900 0.100 0.074



[12]
This entry pairs a crystal structure of Nd3Sm5Th2 with its theoretical powder X-ray diffraction pattern. Radiation: Cu Kα. Structure: DFT lattice parameters and positions (GGA-PBE).
Lines closer than 0.1° are merged.

Largest 6 diffraction maxima, most intense first, 10 to 90 degrees two-theta:
31.5 deg, 2.836 Å, rel. 100
28.8 deg, 3.104 Å, rel. 64
32.6 deg, 2.748 Å, rel. 42
34.5 deg, 2.600 Å, rel. 26
60.8 deg, 1.524 Å, rel. 25
32.2 deg, 2.779 Å, rel. 22

Atomic structure:
Lattice parameters (Å, degrees): 10.420 10.420 9.008 108.76 108.76 116.33
Element x y z (fractional)
Nd 0.019 0.268 0.037
Nd 0.221 0.779 0.750
Nd 0.268 0.019 0.537
Nd 0.732 0.981 0.463
Nd 0.779 0.221 0.250
Nd 0.981 0.732 0.963
Sm 0.031 0.969 0.750
Sm 0.128 0.371 0.751
Sm 0.280 0.720 0.250
Sm 0.371 0.128 0.251
Sm 0.469 0.531 0.250
Sm 0.531 0.469 0.750
Sm 0.629 0.872 0.749
Sm 0.720 0.280 0.750
Sm 0.872 0.629 0.249
Sm 0.969 0.031 0.250
Th 0.241 0.488 0.478
Th 0.488 0.241 0.978
Th 0.512 0.759 0.022
Th 0.759 0.512 0.522



[13]
This entry pairs a crystal structure of Si2N3 with its theoretical powder X-ray diffraction pattern. Radiation: Cu Kα. Structure: DFT lattice parameters and positions (GGA-PBE).
Lines closer than 0.1° are merged.

Largest 6 diffraction maxima, most intense first, 10 to 90 degrees two-theta:
19.2 deg, 4.613 Å, rel. 100
25.9 deg, 3.438 Å, rel. 63
18.5 deg, 4.809 Å, rel. 52
36.8 deg, 2.445 Å, rel. 39
36.5 deg, 2.459 Å, rel. 28
38.0 deg, 2.366 Å, rel. 22

Atomic structure:
Lattice parameters (Å, degrees): 5.405 5.405 4.918 90.00 90.00 62.83
Element x y z (fractional)
Si 0.037 0.324 0.000
Si 0.324 0.037 0.500
Si 0.676 0.963 0.000
Si 0.963 0.676 0.500
N 0.110 0.353 0.341
N 0.171 0.829 0.446
N 0.353 0.110 0.841
N 0.647 0.890 0.341
N 0.829 0.171 0.946
N 0.890 0.647 0.841